Structure and calculated powder X-ray diffraction pattern of Y2ErHg (a structure optimized by DFT (GGA-PBE); Cu Kα, 1.54184 Å).
Neutral-atom scattering factors, no anomalous dispersion.

Main lines, in order of falling intensity (2θ from 10° to 90°):
hkl 1 2 2, d = 2.758 Å, intensity 100; hkl 2 0 0, d = 2.545 Å, intensity 28; hkl 1 1 3, d = 2.381 Å, intensity 19; hkl 1 3 1, d = 2.742 Å, intensity 17; hkl 3 2 2, d = 1.507 Å, intensity 16; hkl 0 4 0, d = 2.650 Å, intensity 14; hkl 0 1 1, d = 6.562 Å, intensity 14; hkl 0 3 1, d = 3.255 Å, intensity 13; hkl 2 5 3, d = 1.406 Å, intensity 10; hkl 1 7 1, d = 1.430 Å, intensity 10

a = 5.091 Å, b = 10.601 Å, c = 8.355 Å
α = 90.00°, β = 90.00°, γ = 90.00°
Atoms (fractional coordinates):
Y: 0.250 0.111 0.000
Y: 0.250 0.387 0.795
Y: 0.250 0.611 0.500
Y: 0.250 0.887 0.295
Y: 0.750 0.113 0.295
Y: 0.750 0.389 0.500
Y: 0.750 0.613 0.795
Y: 0.750 0.889 0.000
Er: 0.250 0.387 0.208
Er: 0.250 0.887 0.708
Er: 0.750 0.113 0.708
Er: 0.750 0.613 0.208
Hg: 0.250 0.179 0.503
Hg: 0.250 0.679 0.003
Hg: 0.750 0.321 0.003
Hg: 0.750 0.821 0.503